# 1
The following is a theoretical powder XRD pattern of Li6PdPb. It was derived from a cell relaxed with PBE, using a wavelength of 1.5418 Å.
Kinematic intensities with the Lorentz-polarization factor, no thermal factor.

Peak list (6 most intense, 2θ = 10–80°, in order of rising 2θ)
two_theta	intensity
17.8	51
25.9	100
31.0	41
40.8	26
49.7	22
52.2	20

Atomic structure:
```
8
Lattice="4.7518 0.0000 0.0000 0.0000 2.8899 4.9856 0.0000 -2.8899 4.9856" Properties=species:S:1:pos:R:3 pbc="T T T"
Li 0.0000 0.0000 0.0000
Li 0.0000 -1.3548 2.3381
Li 0.0000 1.3548 2.3381
Li 2.3759 -1.4114 4.0828
Li 2.3759 0.0000 6.5113
Li 2.3759 1.4114 4.0828
Pd 2.3759 0.0000 1.5684
Pb 0.0000 0.0000 4.8831
```

# 2
The following is a theoretical powder XRD pattern of SmUOsRu. It was derived from a cell relaxed with PBE, using a wavelength of 1.5418 Å.
Kinematic intensities with the Lorentz-polarization factor, no thermal factor.

Peak list (6 most intense, 2θ = 10–80°, in order of rising 2θ)
two_theta	intensity
17.1	47
32.8	100
40.7	88
44.4	26
53.2	26
54.4	25

Atomic structure:
```
4
Lattice="2.2170 1.2800 5.1901 -2.2170 1.2800 5.1901 0.0000 -2.5599 5.1901" Properties=species:S:1:pos:R:3 pbc="T T T"
Sm 0.0000 0.0000 0.0000
U 0.0000 0.0000 7.7760
Os 0.0000 0.0000 3.2956
Ru 0.0000 0.0000 12.3900
```

What is the formula in the second record? SmUOsRu